Record 1
This entry pairs a crystal structure of Zr6Al16Rh7 with its simulated X-ray diffraction stick pattern. Radiation: Cu Kα (weighted mean of Kα1 and Kα2). Structure: the PBE geometry in the Materials Project.
Lines closer than 0.1° are merged.

Largest 10 diffraction maxima, in order of rising 2θ, 10° ≤ 2θ ≤ 80°:
(hkl), d/Å, I (rel.)
2 2 2, 3.573, 17
4 0 0, 3.094, 54
3 3 1, 2.839, 30
4 2 2, 2.526, 31
3 3 3, 2.382, 51
4 4 0, 2.188, 100
6 0 0, 2.063, 15
6 2 2, 1.866, 32
8 2 2, 1.459, 17
6 6 2, 1.420, 18

```
data_Zr6Al16Rh7
_space_group_name_H-M_alt 'F m -3 m'
_space_group_IT_number 225
_space_group_name_Hall '-F 4 2 3'
_cell_length_a 12.3766
_cell_length_b 12.3766
_cell_length_c 12.3766
_cell_angle_alpha 90.00
_cell_angle_beta 90.00
_cell_angle_gamma 90.00
loop_
_atom_site_label
_atom_site_fract_x
_atom_site_fract_y
_atom_site_fract_z
_atom_site_occupancy
Zr1 0.0000 0.0000 0.1899 1
Al1 0.1199 0.1199 0.3801 1
Al2 0.1629 0.1629 0.1629 1
Rh1 0.0000 0.0000 0.5000 1
Rh2 0.0000 0.2500 0.2500 1
```

***

Record 2
This entry pairs a crystal structure of NdGa4Ni with its simulated X-ray diffraction stick pattern. Radiation: Cu Kα (weighted mean of Kα1 and Kα2). Structure: the PBE geometry in the Materials Project.
Lines closer than 0.1° are merged.

Largest 10 diffraction maxima, in order of rising 2θ, 10° ≤ 2θ ≤ 80°:
(hkl), d/Å, I (rel.)
1 1 2, 2.549, 100
1 5 0, 2.505, 76
0 6 1, 2.413, 30
1 5 1, 2.339, 31
1 3 2, 2.313, 15
2 0 0, 2.107, 40
0 6 2, 2.033, 26
2 6 1, 1.587, 16
2 6 2, 1.463, 21
2 0 4, 1.291, 15

```
data_NdGa4Ni
_space_group_name_H-M_alt 'C m c m'
_space_group_IT_number 63
_space_group_name_Hall '-C 2c 2'
_cell_length_a 4.2141
_cell_length_b 15.5752
_cell_length_c 6.5419
_cell_angle_alpha 90.00
_cell_angle_beta 90.00
_cell_angle_gamma 90.00
loop_
_atom_site_label
_atom_site_fract_x
_atom_site_fract_y
_atom_site_fract_z
_atom_site_occupancy
Nd1 0.0000 0.1167 0.2500 1
Ga1 0.0000 0.0734 0.7500 1
Ga2 0.0000 0.3128 0.0524 1
Ga3 0.0000 0.5000 0.0000 1
Ni1 0.0000 0.2234 0.7500 1
```

***

Record 3
This entry pairs a crystal structure of LiCa2CuN2 with its simulated X-ray diffraction stick pattern. Radiation: Cu Kα (weighted mean of Kα1 and Kα2). Structure: the PBE geometry in the Materials Project.
Lines closer than 0.1° are merged.

Largest 10 diffraction maxima, in order of rising 2θ, 10° ≤ 2θ ≤ 80°:
(hkl), d/Å, I (rel.)
1 0 1, 4.141, 63
2 0 0, 2.652, 42
1 1 2, 2.484, 100
2 1 1, 2.233, 24
1 0 3, 2.040, 9
2 2 0, 1.875, 27
0 0 4, 1.657, 9
3 1 2, 1.496, 37
2 0 4, 1.405, 11
2 2 4, 1.242, 12

```
data_LiCa2CuN2
_space_group_name_H-M_alt 'P 42/m n m'
_space_group_IT_number 136
_space_group_name_Hall '-P 4n 2n'
_cell_length_a 5.3035
_cell_length_b 5.3035
_cell_length_c 6.6292
_cell_angle_alpha 90.00
_cell_angle_beta 90.00
_cell_angle_gamma 90.00
loop_
_atom_site_label
_atom_site_fract_x
_atom_site_fract_y
_atom_site_fract_z
_atom_site_occupancy
Li1 0.0000 0.0000 0.0000 1
Ca1 0.0000 0.5000 0.2500 1
Cu1 0.0000 0.0000 0.5000 1
N1 0.2482 0.2482 0.5000 1
```

***

Record 4
This entry pairs a crystal structure of LiSm2Os with its simulated X-ray diffraction stick pattern. Radiation: Cu Kα (weighted mean of Kα1 and Kα2). Structure: the PBE geometry in the Materials Project.
Lines closer than 0.1° are merged.

Largest 10 diffraction maxima, in order of rising 2θ, 10° ≤ 2θ ≤ 80°:
(hkl), d/Å, I (rel.)
1 1 1, 4.080, 32
2 0 0, 3.534, 6
2 2 0, 2.499, 100
3 1 1, 2.131, 17
4 0 0, 1.767, 18
3 3 1, 1.621, 7
4 2 0, 1.580, 2
4 2 2, 1.443, 37
5 1 1, 1.360, 6
4 4 0, 1.249, 11

```
data_LiSm2Os
_space_group_name_H-M_alt 'F m -3 m'
_space_group_IT_number 225
_space_group_name_Hall '-F 4 2 3'
_cell_length_a 7.0675
_cell_length_b 7.0675
_cell_length_c 7.0675
_cell_angle_alpha 90.00
_cell_angle_beta 90.00
_cell_angle_gamma 90.00
loop_
_atom_site_label
_atom_site_fract_x
_atom_site_fract_y
_atom_site_fract_z
_atom_site_occupancy
Li1 0.0000 0.0000 0.0000 1
Sm1 0.2500 0.2500 0.2500 1
Os1 0.0000 0.0000 0.5000 1
```

***

Record 5
This entry pairs a crystal structure of KNa4Cl5 with its simulated X-ray diffraction stick pattern. Radiation: Cu Kα (weighted mean of Kα1 and Kα2). Structure: the PBE geometry in the Materials Project.
Lines closer than 0.1° are merged.

Largest 10 diffraction maxima, in order of rising 2θ, 10° ≤ 2θ ≤ 80°:
(hkl), d/Å, I (rel.)
2 0 2, 2.925, 100
1 1 -4, 2.071, 32
5 1 0, 2.068, 22
0 2 0, 2.062, 11
8 0 -2, 1.692, 10
2 2 2, 1.686, 11
6 2 -4, 1.462, 6
1 1 6, 1.310, 8
7 1 2, 1.308, 12
3 3 -2, 1.305, 4

```
data_KNa4Cl5
_space_group_name_H-M_alt 'C 1 2/m 1'
_space_group_IT_number 12
_cell_length_a 13.7356
_cell_length_b 4.1245
_cell_length_c 10.1574
_cell_angle_alpha 90.00
_cell_angle_beta 119.56
_cell_angle_gamma 90.00
loop_
_space_group_symop_operation_xyz
'x,y,z'
'-x,-y,-z'
'-x,y,-z'
'x,-y,z'
'x+1/2,y+1/2,z'
'-x+1/2,-y+1/2,-z'
'-x+1/2,y+1/2,-z'
'x+1/2,-y+1/2,z'
loop_
_atom_site_label
_atom_site_fract_x
_atom_site_fract_y
_atom_site_fract_z
_atom_site_occupancy
K1 0.0000 0.0000 0.0000 1
Na1 0.0996 0.5000 0.4024 1
Na2 0.1990 0.0000 0.7961 1
Cl1 0.0000 0.0000 0.5000 1
Cl2 0.1088 0.5000 0.8901 1
Cl3 0.2076 0.0000 0.3125 1
```

***

Record 6
This entry pairs a crystal structure of SmCo3 with its simulated X-ray diffraction stick pattern. Radiation: Cu Kα (weighted mean of Kα1 and Kα2). Structure: the PBE geometry in the Materials Project.
Lines closer than 0.1° are merged.

Largest 10 diffraction maxima, in order of rising 2θ, 10° ≤ 2θ ≤ 80°:
(hkl), d/Å, I (rel.)
1 0 7, 2.746, 45
1 1 0, 2.520, 87
0 2 1, 2.172, 35
1 1 6, 2.149, 100
2 0 5, 1.997, 23
2 1 7, 1.494, 14
3 0 0, 1.454, 22
2 0 14, 1.373, 14
3 0 6, 1.371, 20
2 2 0, 1.259, 19

```
data_SmCo3
_space_group_name_H-M_alt 'R -3 m'
_space_group_IT_number 166
_space_group_name_Hall '-R 3 2"'
_cell_length_a 5.0359
_cell_length_b 5.0359
_cell_length_c 24.7463
_cell_angle_alpha 90.00
_cell_angle_beta 90.00
_cell_angle_gamma 120.00
loop_
_atom_site_label
_atom_site_fract_x
_atom_site_fract_y
_atom_site_fract_z
_atom_site_occupancy
Sm1 0.0000 0.0000 0.0000 1
Sm2 0.0000 0.0000 0.1396 1
Co1 0.0000 0.0000 0.3345 1
Co2 0.0000 0.0000 0.5000 1
Co3 0.0000 0.5000 0.0802 1
```